The following is a calculated powder X-ray diffraction pattern of CeSm12Ho2. It was derived from the GGA-PBE geometry in Alexandria, using Cu Kα.

Structural model:
Cell: 7.1766 11.4010 24.6735 Å, 90.00 94.50 90.00°
Space group C2/m (No. 12)
Unique sites:
1 Ce 0.1918 0.0000 0.0019
2 Sm 0.0136 0.2569 0.0710
3 Sm 0.1100 0.2580 0.4438
4 Sm 0.1448 0.0000 0.5863
5 Sm 0.1581 0.5000 0.5685
6 Sm 0.1695 0.2611 0.6729
7 Sm 0.2014 0.2431 0.8007
8 Sm 0.2153 0.0000 0.8696
9 Sm 0.2227 0.5000 0.8616
10 Ho 0.0581 0.0000 0.2685
11 Ho 0.0743 0.5000 0.2691

Peak list (10 most intense, 2θ = 10–90°, low angle first)
- 29.9°, I 100.0, hkl 0 2 7
- 30.8°, I 56.2, hkl 2 2 2
- 31.4°, I 78.5, hkl 0 4 0
- 31.9°, I 19.1, hkl 2 0 -6
- 32.1°, I 58.9, hkl 2 2 -4
- 32.2°, I 37.4, hkl 2 2 3
- 33.1°, I 54.7, hkl 0 2 8
- 50.9°, I 20.4, hkl 4 0 -1
- 54.9°, I 17.1, hkl 0 6 7
- 61.0°, I 20.7, hkl 4 4 -1